[1]
The following is a theoretical PXRD pattern of Pm2BeZnRh2. It was derived from a structure optimized by DFT (PBE), using Cu Kα, 1.54184 Å.
Kinematic intensities with the Lorentz-polarization factor, no thermal factor.

Structure:
a b c (Å): 8.0171 8.0171 8.0171
angles (deg): 136.92 61.47 138.36
Positions (direct):
Pm 0.1664 0.2345 0.4009
Pm 0.3336 0.7345 0.0681
Pm 0.6664 0.2655 0.9319
Pm 0.8336 0.7655 0.5991
Be 0.2500 0.7500 0.5000
Be 0.7500 0.2500 0.5000
Zn 0.2500 0.2500 0.0000
Zn 0.7500 0.7500 0.0000
Rh 0.1059 0.7075 0.8134
Rh 0.3941 0.2075 0.6017
Rh 0.6059 0.7925 0.3983
Rh 0.8941 0.2925 0.1866

Most intense lines, 10° ≤ 2θ ≤ 80°, in order of falling intensity:
2theta  d [Å]  Rel. int.
34.01  2.636  100
44.24  2.047  53
31.39  2.850  42
30.36  2.944  39
41.11  2.196  37
40.29  2.238  37

***

[2]
The following is a theoretical PXRD pattern of Ba8Pd2Au3. It was derived from a structure optimized by DFT (PBE), using Cu Kα, 1.54184 Å.
Kinematic intensities with the Lorentz-polarization factor, no thermal factor.

Structure:
a b c (Å): 9.4511 9.4511 8.0729
angles (deg): 106.93 106.93 60.05
Positions (direct):
Ba 0.1109 0.6276 0.2335
Ba 0.1229 0.1229 0.2407
Ba 0.3724 0.8891 0.7665
Ba 0.3728 0.3728 0.7718
Ba 0.6272 0.6272 0.2282
Ba 0.6276 0.1109 0.2335
Ba 0.8771 0.8771 0.7593
Ba 0.8891 0.3724 0.7665
Pd 0.2521 0.2521 0.0100
Pd 0.7479 0.7479 0.9900
Au 0.0000 0.0000 0.5000
Au 0.2514 0.7486 0.0000
Au 0.7486 0.2514 0.0000

Most intense lines, 10° ≤ 2θ ≤ 80°, in order of falling intensity:
2theta  d [Å]  Rel. int.
26.81  3.325  100
38.08  2.363  40
38.48  2.340  37
47.18  1.926  22
11.64  7.603  18
69.07  1.360  13

***

[3]
The following is a theoretical PXRD pattern of Pr7ZnS5. It was derived from a structure optimized by DFT (PBE), using Cu Kα, 1.54184 Å.
Kinematic intensities with the Lorentz-polarization factor, no thermal factor.

Structure:
a b c (Å): 4.0891 7.0931 24.7075
angles (deg): 89.97 90.00 73.32
Positions (direct):
Pr 0.0307 0.4386 0.2500
Pr 0.1364 0.2265 0.5364
Pr 0.1357 0.2279 0.9637
Pr 0.3172 0.8655 0.3254
Pr 0.3182 0.8634 0.1745
Pr 0.4122 0.6760 0.8934
Pr 0.4130 0.6743 0.6066
Pr 0.5870 0.3257 0.3934
Pr 0.5878 0.3240 0.1066
Pr 0.6818 0.1366 0.8255
Pr 0.6828 0.1345 0.6746
Pr 0.8643 0.7721 0.0363
Pr 0.8636 0.7735 0.4636
Pr 0.9693 0.5614 0.7500
Zn 0.2976 0.9037 0.7503
Zn 0.7024 0.0963 0.2497
S 0.0464 0.4073 0.6418
S 0.0466 0.4070 0.8582
S 0.2260 0.0482 0.4294
S 0.2256 0.0490 0.0706
S 0.5000 0.5000 0.0000
S 0.5000 0.5000 0.5000
S 0.7744 0.9510 0.9294
S 0.7740 0.9518 0.5706
S 0.9534 0.5930 0.1418
S 0.9536 0.5927 0.3582

Most intense lines, 10° ≤ 2θ ≤ 80°, in order of falling intensity:
2theta  d [Å]  Rel. int.
28.49  3.132  100
30.32  2.948  87
31.41  2.848  65
26.96  3.307  49
43.99  2.058  48
53.52  1.712  34

***

[4]
The following is a theoretical PXRD pattern of PrYHo2Th. It was derived from a structure optimized by DFT (PBE), using Cu Kα, 1.54184 Å.
Kinematic intensities with the Lorentz-polarization factor, no thermal factor.

Structure:
a b c (Å): 3.5503 5.6678 8.6854
angles (deg): 90.00 90.06 90.00
Positions (direct):
Pr 0.0000 0.0000 0.0000
Y 0.5000 0.0000 0.5000
Ho 0.0012 0.5000 0.3216
Ho 0.9988 0.5000 0.6784
Th 0.5000 0.5000 0.0000

Most intense lines, 10° ≤ 2θ ≤ 80°, in order of falling intensity:
2theta  d [Å]  Rel. int.
31.47  2.843  100
36.32  2.473  43
31.57  2.834  42
15.64  5.668  36
61.66  1.504  33
34.80  2.578  26